No. 1
Structure and calculated powder diffractogram of KYbB4H16 (a crystal structure in Alexandria, relaxed with PBE; CuKα).
Kinematic intensities with the Lorentz-polarization factor, no thermal factor.

Top 6 peaks for 2θ from 10° to 90°, by angle:
d 5.571, I 100
d 5.160, I 74
d 4.162, I 34
d 3.898, I 60
d 3.682, I 33
d 3.239, I 43

Atomic structure:
abc: 7.433 7.433 9.451
angles: 90.00 90.00 111.90
Fractional positions:
K (0.000, 0.000, 0.000)
K (0.000, 0.000, 0.500)
Yb (0.369, 0.631, 0.750)
Yb (0.631, 0.369, 0.250)
B (0.248, 0.273, 0.750)
B (0.259, 0.741, 0.532)
B (0.259, 0.741, 0.968)
B (0.273, 0.248, 0.250)
B (0.727, 0.752, 0.750)
B (0.741, 0.259, 0.032)
B (0.741, 0.259, 0.468)
B (0.752, 0.727, 0.250)
H (0.098, 0.195, 0.250)
H (0.111, 0.330, 0.750)
H (0.120, 0.639, 0.607)
H (0.120, 0.639, 0.893)
H (0.195, 0.098, 0.750)
H (0.209, 0.791, 0.077)
H (0.209, 0.791, 0.423)
H (0.330, 0.111, 0.250)
H (0.343, 0.350, 0.145)
H (0.343, 0.350, 0.355)
H (0.350, 0.343, 0.645)
H (0.350, 0.343, 0.855)
H (0.358, 0.642, 0.508)
H (0.358, 0.642, 0.992)
H (0.361, 0.880, 0.607)
H (0.361, 0.880, 0.893)
H (0.639, 0.120, 0.107)
H (0.639, 0.120, 0.393)
H (0.642, 0.358, 0.008)
H (0.642, 0.358, 0.492)
H (0.650, 0.657, 0.145)
H (0.650, 0.657, 0.355)
H (0.657, 0.650, 0.645)
H (0.657, 0.650, 0.855)
H (0.670, 0.889, 0.750)
H (0.791, 0.209, 0.577)
H (0.791, 0.209, 0.923)
H (0.805, 0.902, 0.250)
H (0.880, 0.361, 0.107)
H (0.880, 0.361, 0.393)
H (0.889, 0.670, 0.250)
H (0.902, 0.805, 0.750)

=====

No. 2
Structure and calculated powder diffractogram of Ac3U2As2N5 (a crystal structure in Alexandria, relaxed with PBE; CuKα).
Kinematic intensities with the Lorentz-polarization factor, no thermal factor.

Top 6 peaks for 2θ from 10° to 90°, by angle:
d 3.292, I 87
d 3.096, I 100
d 2.765, I 64
d 2.189, I 46
d 1.823, I 34
d 1.716, I 32

Atomic structure:
abc: 12.859 12.859 12.859
angles: 160.39 160.39 27.87
Fractional positions:
Ac (0.000, 0.000, 0.000)
Ac (0.173, 0.173, 0.000)
Ac (0.827, 0.827, 0.000)
U (0.415, 0.415, 0.000)
U (0.585, 0.585, 0.000)
As (0.301, 0.301, 0.000)
As (0.699, 0.699, 0.000)
N (0.084, 0.584, 0.500)
N (0.416, 0.916, 0.500)
N (0.500, 0.500, 0.000)
N (0.584, 0.084, 0.500)
N (0.916, 0.416, 0.500)

=====

No. 3
Structure and calculated powder diffractogram of AlGeOs (a crystal structure in Alexandria, relaxed with PBE; CuKα).
Kinematic intensities with the Lorentz-polarization factor, no thermal factor.

Top 6 peaks for 2θ from 10° to 90°, by angle:
d 3.674, I 96
d 2.923, I 100
d 2.186, I 40
d 2.074, I 62
d 2.055, I 60
d 2.008, I 53

Atomic structure:
abc: 4.334 4.334 5.481
angles: 100.45 100.45 102.91
Fractional positions:
Al (0.044, 0.956, 0.750)
Al (0.956, 0.044, 0.250)
Ge (0.455, 0.545, 0.750)
Ge (0.545, 0.455, 0.250)
Os (0.000, 0.500, 0.000)
Os (0.500, 0.000, 0.500)

=====

No. 4
Structure and calculated powder diffractogram of Li6AlGa5 (a crystal structure in Alexandria, relaxed with PBE; CuKα).
Kinematic intensities with the Lorentz-polarization factor, no thermal factor.

Top 6 peaks for 2θ from 10° to 90°, by angle:
d 4.165, I 88
d 2.757, I 63
d 2.299, I 100
d 2.083, I 19
d 1.662, I 26
d 1.240, I 18

Atomic structure:
abc: 7.475 7.475 7.475
angles: 150.02 112.27 75.80
Fractional positions:
Li (0.081, 0.333, 0.748)
Li (0.246, 0.000, 0.246)
Li (0.415, 0.667, 0.748)
Li (0.585, 0.333, 0.252)
Li (0.754, 0.000, 0.754)
Li (0.919, 0.667, 0.252)
Al (0.500, 0.500, 0.000)
Ga (0.000, 0.500, 0.500)
Ga (0.169, 0.169, 0.000)
Ga (0.335, 0.835, 0.500)
Ga (0.665, 0.165, 0.500)
Ga (0.831, 0.831, 0.000)

=====

No. 5
Structure and calculated powder diffractogram of Nd2Sm6Ru (a crystal structure in Alexandria, relaxed with PBE; CuKα).
Kinematic intensities with the Lorentz-polarization factor, no thermal factor.

Top 6 peaks for 2θ from 10° to 90°, by angle:
d 3.073, I 100
d 3.056, I 97
d 2.680, I 98
d 2.605, I 44
d 1.869, I 33
d 1.867, I 33

Atomic structure:
abc: 7.547 3.806 10.419
angles: 90.00 90.08 90.00
Fractional positions:
Nd (0.239, 0.000, 0.000)
Nd (0.761, 0.000, 0.000)
Sm (0.000, 0.500, 0.240)
Sm (0.000, 0.500, 0.760)
Sm (0.237, 0.000, 0.500)
Sm (0.500, 0.500, 0.237)
Sm (0.500, 0.500, 0.763)
Sm (0.763, 0.000, 0.500)
Ru (0.500, 0.500, 0.500)

=====

No. 6
Structure and calculated powder diffractogram of Sm7Er3 (a crystal structure in Alexandria, relaxed with PBE; CuKα).
Kinematic intensities with the Lorentz-polarization factor, no thermal factor.

Top 6 peaks for 2θ from 10° to 90°, by angle:
d 2.931, I 100
d 2.541, I 34
d 2.532, I 17
d 1.795, I 24
d 1.532, I 29
d 1.528, I 14

Atomic structure:
abc: 9.501 9.501 7.176
angles: 101.11 101.11 31.01
Fractional positions:
Sm (0.000, 0.000, 0.000)
Sm (0.200, 0.200, 0.600)
Sm (0.399, 0.399, 0.199)
Sm (0.400, 0.400, 0.701)
Sm (0.600, 0.600, 0.299)
Sm (0.601, 0.601, 0.801)
Sm (0.800, 0.800, 0.400)
Er (0.000, 0.000, 0.500)
Er (0.201, 0.201, 0.100)
Er (0.799, 0.799, 0.900)

=====

No. 7
Structure and calculated powder diffractogram of TaTiIrRh (a crystal structure in Alexandria, relaxed with PBE; CuKα).
Kinematic intensities with the Lorentz-polarization factor, no thermal factor.

Top 6 peaks for 2θ from 10° to 90°, by angle:
d 3.591, I 29
d 2.284, I 100
d 2.055, I 37
d 1.847, I 13
d 1.373, I 20
d 1.226, I 27

Atomic structure:
abc: 4.699 4.699 4.699
angles: 128.15 128.15 76.38
Fractional positions:
Ta (0.000, 0.000, 0.000)
Ti (0.500, 0.500, 0.000)
Ir (0.250, 0.750, 0.500)
Rh (0.750, 0.250, 0.500)

=====

No. 8
Structure and calculated powder diffractogram of Cs2Ag12Te7 (a crystal structure in Alexandria, relaxed with PBE; CuKα).
Kinematic intensities with the Lorentz-polarization factor, no thermal factor.

Top 6 peaks for 2θ from 10° to 90°, by angle:
d 3.424, I 32
d 3.020, I 100
d 2.789, I 33
d 2.451, I 25
d 2.227, I 19
d 2.116, I 39

Atomic structure:
abc: 11.862 11.862 4.804
angles: 90.00 90.00 120.00
Fractional positions:
Cs (0.333, 0.667, 0.270)
Cs (0.667, 0.333, 0.730)
Ag (0.065, 0.363, 0.685)
Ag (0.100, 0.238, 0.176)
Ag (0.137, 0.900, 0.176)
Ag (0.238, 0.137, 0.824)
Ag (0.298, 0.935, 0.685)
Ag (0.363, 0.298, 0.315)
Ag (0.637, 0.702, 0.685)
Ag (0.702, 0.065, 0.315)
Ag (0.762, 0.863, 0.176)
Ag (0.863, 0.100, 0.824)
Ag (0.900, 0.762, 0.824)
Ag (0.935, 0.637, 0.315)
Te (0.000, 0.000, 0.500)
Te (0.089, 0.679, 0.790)
Te (0.321, 0.410, 0.790)
Te (0.410, 0.089, 0.210)
Te (0.590, 0.911, 0.790)
Te (0.679, 0.590, 0.210)
Te (0.911, 0.321, 0.210)

=====

No. 9
Structure and calculated powder diffractogram of PmMg5Pd6 (a crystal structure in Alexandria, relaxed with PBE; CuKα).
Kinematic intensities with the Lorentz-polarization factor, no thermal factor.

Top 6 peaks for 2θ from 10° to 90°, by angle:
d 3.330, I 14
d 3.255, I 14
d 2.332, I 34
d 2.320, I 100
d 2.300, I 33
d 2.285, I 33

Atomic structure:
abc: 4.569 6.660 7.250
angles: 90.09 107.89 90.17
Fractional positions:
Pm (0.000, 0.000, 0.000)
Mg (0.000, 0.500, 0.000)
Mg (0.326, 0.000, 0.652)
Mg (0.334, 0.500, 0.669)
Mg (0.666, 0.500, 0.331)
Mg (0.674, 0.000, 0.348)
Pd (0.171, 0.262, 0.342)
Pd (0.172, 0.738, 0.342)
Pd (0.500, 0.269, 0.000)
Pd (0.500, 0.731, 0.000)
Pd (0.828, 0.262, 0.658)
Pd (0.829, 0.738, 0.658)

=====

No. 10
Structure and calculated powder diffractogram of NaSbMo2 (a crystal structure in Alexandria, relaxed with PBE; CuKα).
Kinematic intensities with the Lorentz-polarization factor, no thermal factor.

Top 6 peaks for 2θ from 10° to 90°, by angle:
d 4.405, I 53
d 2.794, I 100
d 2.397, I 73
d 2.026, I 31
d 1.975, I 31
d 1.819, I 53

Atomic structure:
abc: 6.185 6.185 6.185
angles: 100.60 100.60 129.20
Fractional positions:
Na (0.000, 0.000, 0.000)
Na (0.750, 0.250, 0.500)
Sb (0.250, 0.750, 0.500)
Sb (0.500, 0.500, 0.000)
Mo (0.164, 0.625, 0.039)
Mo (0.375, 0.414, 0.539)
Mo (0.586, 0.125, 0.961)
Mo (0.875, 0.836, 0.461)

=====

No. 11
Structure and calculated powder diffractogram of NbZnNiRh (a crystal structure in Alexandria, relaxed with PBE; CuKα).
Kinematic intensities with the Lorentz-polarization factor, no thermal factor.

Top 6 peaks for 2θ from 10° to 90°, by angle:
d 2.218, I 100
d 1.959, I 34
d 1.850, I 14
d 1.385, I 11
d 1.345, I 19
d 1.175, I 24

Atomic structure:
abc: 4.622 4.622 4.622
angles: 129.85 129.85 73.65
Fractional positions:
Nb (0.000, 0.000, 0.000)
Zn (0.500, 0.500, 0.000)
Ni (0.250, 0.750, 0.500)
Rh (0.750, 0.250, 0.500)

=====

No. 12
Structure and calculated powder diffractogram of Pr2Nd4SmSc (a crystal structure in Alexandria, relaxed with PBE; CuKα).
Kinematic intensities with the Lorentz-polarization factor, no thermal factor.

Top 6 peaks for 2θ from 10° to 90°, by angle:
d 2.965, I 100
d 2.570, I 34
d 2.563, I 17
d 1.815, I 36
d 1.549, I 28
d 1.546, I 14

Atomic structure:
abc: 5.126 5.143 10.273
angles: 90.00 90.00 90.00
Fractional positions:
Pr (0.000, 0.000, 0.000)
Pr (0.500, 0.500, 0.500)
Nd (0.000, 0.500, 0.244)
Nd (0.000, 0.500, 0.756)
Nd (0.500, 0.000, 0.244)
Nd (0.500, 0.000, 0.756)
Sm (0.000, 0.000, 0.500)
Sc (0.500, 0.500, 0.000)